# TlMo2Pb
Theoretical X-ray powder pattern, a wavelength of 1.5418 Å. Input: a structure optimized by DFT (PBE).
Lines closer than 0.1° are merged.

Lattice parameters (Å, degrees): 3.3720 5.1370 10.3930 90.00 90.00 90.00
Space group Cmm2 (No. 35)
Symmetry-distinct sites (fractional):
1 Tl 0.0000 0.0000 0.0000 x2
2 Mo 0.0000 0.0000 0.4287 x2
3 Mo 0.0000 0.5000 0.2524 x2
4 Pb 0.0000 0.5000 0.6782 x2

Largest 12 diffraction maxima, in order of rising 2θ, 2θ from 10° to 90°:
| h k l | d_spacing | 2theta | I (rel.) |
| --- | --- | --- | --- |
| 0 0 3 | 3.464 | 25.7 | 30 |
| 1 1 1 | 2.721 | 32.9 | 25 |
| 0 0 4 | 2.598 | 34.5 | 13 |
| 0 2 0 | 2.568 | 34.9 | 34 |
| 1 1 2 | 2.478 | 36.3 | 100 |
| 0 2 3 | 2.063 | 43.9 | 15 |
| 0 2 4 | 1.827 | 49.9 | 9 |
| 2 0 0 | 1.686 | 54.4 | 10 |
| 1 1 5 | 1.673 | 54.9 | 22 |
| 1 3 2 | 1.465 | 63.5 | 20 |
| 2 2 0 | 1.409 | 66.3 | 11 |
| 1 1 7 | 1.314 | 71.9 | 8 |